1.
Starting from a cell relaxed with GGA-PBE, the PXRD pattern of HAu was computed for Cu Kα X-rays.

Most intense lines, 2θ from 10° to 90°, by angle:
Position (°2θ), Rel. int.
29.4, 100.0
30.6, 92.9
36.9, 55.7
38.2, 50.9
38.7, 48.9
39.8, 45.5
42.8, 37.0
43.1, 36.3

Cell and atoms:
Cell lengths 2.826, 3.167, 3.295 Å; angles 81.12, 67.30, 67.26 degrees
Element x y z (fractional)
H 0.000 0.000 0.000
Au 0.682 0.999 0.605

2.
Starting from a cell relaxed with GGA-PBE, the PXRD pattern of Ta2Ti2Fe was computed for Cu Kα X-rays.

Most intense lines, 2θ from 10° to 90°, by angle:
Position (°2θ), Rel. int.
21.6, 36.3
25.2, 29.2
31.4, 59.6
41.2, 100.0
42.9, 48.1
58.0, 13.5
62.3, 15.6
77.5, 30.3

Cell and atoms:
Cell lengths 10.133, 10.133, 10.133 Å; angles 155.99, 155.99, 34.21 degrees
Element x y z (fractional)
Ta 0.049 0.299 0.750
Ta 0.299 0.049 0.250
Ta 0.701 0.951 0.750
Ta 0.951 0.701 0.250
Ti 0.198 0.448 0.750
Ti 0.448 0.198 0.250
Ti 0.552 0.802 0.750
Ti 0.802 0.552 0.250
Fe 0.125 0.875 0.250
Fe 0.875 0.125 0.750

3.
Starting from a cell relaxed with GGA-PBE, the PXRD pattern of PuTaPdO6 was computed for Cu Kα X-rays.

Most intense lines, 2θ from 10° to 90°, by angle:
Position (°2θ), Rel. int.
19.3, 36.4
26.9, 100.0
32.5, 68.3
38.1, 38.7
42.7, 28.6
51.8, 54.2
54.7, 28.3
58.0, 21.2

Cell and atoms:
Cell lengths 5.506, 5.506, 9.207 Å; angles 90.00, 90.00, 120.00 degrees
Element x y z (fractional)
Pu 0.333 0.667 0.250
Pu 0.667 0.333 0.750
Ta 0.333 0.667 0.750
Ta 0.667 0.333 0.250
Pd 0.000 0.000 0.000
Pd 0.000 0.000 0.500
O 0.015 0.365 0.635
O 0.015 0.650 0.865
O 0.350 0.365 0.865
O 0.350 0.985 0.635
O 0.365 0.015 0.135
O 0.365 0.350 0.365
O 0.635 0.650 0.635
O 0.635 0.985 0.865
O 0.650 0.015 0.365
O 0.650 0.635 0.135
O 0.985 0.350 0.135
O 0.985 0.635 0.365

4.
Starting from a cell relaxed with GGA-PBE, the PXRD pattern of FeCoRh was computed for Cu Kα X-rays.

Most intense lines, 2θ from 10° to 90°, by angle:
Position (°2θ), Rel. int.
42.4, 100.0
48.5, 16.1
49.1, 16.2
50.5, 14.8
71.5, 9.4
86.3, 10.9
87.3, 11.4
89.4, 10.8

Cell and atoms:
Cell lengths 5.914, 5.914, 3.710 Å; angles 90.00, 90.00, 144.43 degrees
Element x y z (fractional)
Fe 0.092 0.908 0.750
Fe 0.908 0.092 0.250
Co 0.250 0.750 0.250
Co 0.750 0.250 0.750
Rh 0.412 0.588 0.750
Rh 0.588 0.412 0.250

5.
Starting from a cell relaxed with GGA-PBE, the PXRD pattern of CeMgSc2Tl4 was computed for Cu Kα X-rays.

Most intense lines, 2θ from 10° to 90°, by angle:
Position (°2θ), Rel. int.
24.0, 61.8
33.5, 100.0
34.9, 93.1
49.2, 34.2
58.9, 17.6
61.7, 34.6
62.7, 17.2
83.5, 15.0

Cell and atoms:
Cell lengths 9.408, 9.408, 9.408 Å; angles 31.68, 31.68, 31.68 degrees
Element x y z (fractional)
Ce 0.000 0.000 0.000
Mg 0.500 0.500 0.500
Sc 0.244 0.244 0.244
Sc 0.756 0.756 0.756
Tl 0.127 0.127 0.127
Tl 0.381 0.381 0.381
Tl 0.619 0.619 0.619
Tl 0.873 0.873 0.873

6.
Starting from a cell relaxed with GGA-PBE, the PXRD pattern of Pu3Al2Pt3 was computed for Cu Kα X-rays.

Most intense lines, 2θ from 10° to 90°, by angle:
Position (°2θ), Rel. int.
30.0, 17.4
31.1, 21.1
31.6, 41.7
32.3, 60.7
34.4, 100.0
35.8, 30.3
37.2, 28.3
43.1, 36.8

Cell and atoms:
Cell lengths 6.121, 6.121, 13.923 Å; angles 90.00, 90.00, 139.89 degrees
Element x y z (fractional)
Pu 0.070 0.930 0.620
Pu 0.070 0.930 0.880
Pu 0.361 0.639 0.750
Pu 0.639 0.361 0.250
Pu 0.930 0.070 0.120
Pu 0.930 0.070 0.380
Al 0.223 0.777 0.080
Al 0.223 0.777 0.420
Al 0.777 0.223 0.580
Al 0.777 0.223 0.920
Pt 0.321 0.679 0.250
Pt 0.391 0.609 0.541
Pt 0.391 0.609 0.959
Pt 0.609 0.391 0.041
Pt 0.609 0.391 0.459
Pt 0.679 0.321 0.750

7.
Starting from a cell relaxed with GGA-PBE, the PXRD pattern of La2Sm2Ge2H was computed for Cu Kα X-rays.

Most intense lines, 2θ from 10° to 90°, by angle:
Position (°2θ), Rel. int.
29.5, 100.0
32.0, 26.4
33.1, 32.5
34.9, 63.5
39.2, 51.6
51.5, 27.6
65.1, 20.9
68.3, 17.9

Cell and atoms:
Cell lengths 8.995, 8.995, 8.995 Å; angles 150.39, 150.39, 42.37 degrees
Element x y z (fractional)
La 0.182 0.182 0.000
La 0.818 0.818 0.000
Sm 0.000 0.500 0.500
Sm 0.500 0.000 0.500
Ge 0.370 0.370 0.000
Ge 0.630 0.630 0.000
H 0.000 0.000 0.000